No. 1
Structure and theoretical powder diffractogram of Dy2FeGe3 (a structure optimized by DFT (PBE); Cu Kα (λ = 1.5418 Å)).
Kinematic intensities with the Lorentz-polarization factor, no thermal factor.

Top 10 peaks for 2θ = 5–70°, low angle first:
index  two_theta  d (Å)  intensity
1 1 0  23.8  3.731  30
3 1 -1  33.8  2.651  99
1 1 -2  35.0  2.566  100
3 1 -2  35.4  2.536  49
2 0 1  36.2  2.484  25
3 1 0  40.3  2.235  45
4 0 -3  40.7  2.219  26
0 2 0  42.7  2.117  47
6 0 -1  60.4  1.532  28
7 1 -3  66.6  1.404  22

Crystal structure
a b c (Å): 10.4167 4.2338 6.9911
angles (deg): 90.00 130.71 90.00
Fractional coordinates of all 12 atoms:
Dy 0.0000 0.0000 0.0000
Dy 0.1106 0.0000 0.5901
Dy 0.5000 0.5000 0.0000
Dy 0.6106 0.5000 0.5901
Fe 0.2325 0.5000 0.0457
Fe 0.7325 0.0000 0.0457
Ge 0.2432 0.5000 0.4071
Ge 0.3584 0.0000 0.1650
Ge 0.4514 0.0000 0.6688
Ge 0.7432 0.0000 0.4071
Ge 0.8584 0.5000 0.1650
Ge 0.9514 0.5000 0.6688

No. 2
Structure and theoretical powder diffractogram of Nd3Sm3Y5 (a structure optimized by DFT (PBE); Cu Kα (λ = 1.5418 Å)).
Kinematic intensities with the Lorentz-polarization factor, no thermal factor.

Top 10 peaks for 2θ = 5–70°, low angle first:
index  two_theta  d (Å)  intensity
1 0 0  10.5  8.403  68
0 0 1  16.0  5.543  41
2 0 0  21.1  4.202  44
2 0 1  26.6  3.348  83
2 1 0  28.1  3.176  38
3 0 0  32.0  2.801  39
0 0 2  32.3  2.772  66
2 1 1  32.5  2.756  73
3 0 1  35.9  2.500  100
3 1 1  42.1  2.148  40

Crystal structure
a b c (Å): 9.7032 9.7032 5.5431
angles (deg): 90.00 90.00 120.00
Fractional coordinates of all 11 atoms:
Nd 0.0000 0.6297 0.0000
Nd 0.3703 0.3703 0.0000
Nd 0.6297 0.0000 0.0000
Sm 0.0000 0.4677 0.5000
Sm 0.4677 0.0000 0.5000
Sm 0.5323 0.5323 0.5000
Y 0.0000 0.2630 0.0000
Y 0.2630 0.0000 0.0000
Y 0.3333 0.6667 0.0000
Y 0.6667 0.3333 0.0000
Y 0.7370 0.7370 0.0000